# 1
Theoretical X-ray powder pattern of Li2CuF4 for Cu Kα, from a cell relaxed with GGA-PBE.
No peak broadening, texture or thermal motion is included.

Atomic structure:
```
Li2CuF4
1.0
-3.1566 3.1566 3.4779
3.1566 -3.1566 3.4779
3.1566 3.1566 -3.4779
Li Cu F
4 2 8
direct
0.0000 0.0000 0.0000
0.0000 0.0000 0.5000
0.0000 0.5000 0.0000
0.5000 0.0000 0.5000
0.3750 0.6250 0.7500
0.6250 0.3750 0.2500
0.1727 0.7146 0.4581
0.2436 0.2854 0.9581
0.2854 0.2436 0.4581
0.2854 0.8273 0.0419
0.7146 0.1727 0.9581
0.7146 0.7564 0.5419
0.7564 0.7146 0.0419
0.8273 0.2854 0.5419
```

Largest 8 diffraction maxima, by angle, 15 to 90 degrees two-theta:
2θ (°)  I (rel.)
19.0  100
28.3  60
32.6  53
34.3  34
41.5  55
45.0  35
52.9  41
54.0  34



# 2
Theoretical X-ray powder pattern of Li2CuF4 for Cu Kα, from a cell relaxed with GGA-PBE.
No peak broadening, texture or thermal motion is included.

Atomic structure:
```
Li2CuF4
1.0
4.2320 -2.9365 0.0000
4.2320 2.9365 0.0000
0.0000 0.0000 5.8720
Li Cu F
4 2 8
direct
0.0023 0.4977 0.2500
0.4977 0.0023 0.7500
0.5023 0.9977 0.2500
0.9977 0.5023 0.7500
0.0000 0.0000 0.0000
0.5000 0.5000 0.5000
0.2320 0.2320 0.0000
0.2340 0.7660 0.7670
0.2660 0.7340 0.2670
0.2680 0.2680 0.5000
0.7320 0.7320 0.5000
0.7340 0.2660 0.7330
0.7660 0.2340 0.2330
0.7680 0.7680 0.0000
```

Largest 8 diffraction maxima, by angle, 15 to 90 degrees two-theta:
2θ (°)  I (rel.)
21.0  22
23.9  100
30.4  17
38.6  16
42.7  22
43.6  42
50.3  24
62.7  22



# 3
Theoretical X-ray powder pattern of Li2Cu3F8 for Cu Kα, from a cell relaxed with GGA-PBE.
No peak broadening, texture or thermal motion is included.

Atomic structure:
```
Li2Cu3F8
1.0
5.8252 0.0000 0.0000
2.8832 5.2908 0.0000
2.6443 1.8013 5.1088
Li Cu F
2 3 8
direct
0.0757 0.1273 0.1348
0.9243 0.8727 0.8652
0.5000 0.0000 0.5000
0.5000 0.5000 0.0000
0.5000 0.5000 0.5000
0.2543 0.8612 0.9417
0.2622 0.9500 0.4051
0.2782 0.4430 0.8710
0.2886 0.3816 0.4384
0.7114 0.6184 0.5616
0.7218 0.5570 0.1290
0.7378 0.0500 0.5949
0.7457 0.1388 0.0583
```

Largest 8 diffraction maxima, by angle, 15 to 90 degrees two-theta:
2θ (°)  I (rel.)
18.0  100
20.6  11
35.1  30
36.0  27
37.7  22
44.2  22
46.1  20
48.4  18



# 4
Theoretical X-ray powder pattern of LiCuF2 for Cu Kα, from a cell relaxed with GGA-PBE.
No peak broadening, texture or thermal motion is included.

Atomic structure:
```
LiCuF2
1.0
6.2758 0.0000 0.0000
0.0000 5.2450 0.0000
-0.0764 0.0000 5.7109
Li Cu F
4 4 8
direct
0.0920 0.1785 0.3509
0.0920 0.3215 0.8509
0.9080 0.6785 0.1491
0.9080 0.8215 0.6491
0.4176 0.7432 0.8956
0.4176 0.7568 0.3956
0.5824 0.2432 0.6044
0.5824 0.2568 0.1044
0.1203 0.6950 0.8794
0.1203 0.8050 0.3794
0.2885 0.2225 0.0950
0.2885 0.2775 0.5950
0.7115 0.7225 0.4050
0.7115 0.7775 0.9050
0.8797 0.1950 0.6206
0.8797 0.3050 0.1206
```

Largest 8 diffraction maxima, by angle, 15 to 90 degrees two-theta:
2θ (°)  I (rel.)
22.1  22
33.3  16
34.2  65
35.8  100
37.2  24
38.5  20
38.8  26
46.8  39



# 5
Theoretical X-ray powder pattern of LiCu5F12 for Cu Kα, from a cell relaxed with GGA-PBE.
No peak broadening, texture or thermal motion is included.

Atomic structure:
```
LiCu5F12
1.0
3.3170 -3.3714 0.0000
3.3170 3.3714 0.0000
0.0000 0.0000 9.1081
Li Cu F
1 5 12
direct
0.0000 0.0000 0.0000
0.0000 0.0000 0.3276
0.0000 0.0000 0.6724
0.5000 0.5000 0.1636
0.5000 0.5000 0.5000
0.5000 0.5000 0.8364
0.1917 0.1917 0.5000
0.1981 0.1981 0.1710
0.1981 0.1981 0.8290
0.3080 0.6920 0.3321
0.3080 0.6920 0.6679
0.3100 0.6900 0.0000
0.6900 0.3100 0.0000
0.6920 0.3080 0.3321
0.6920 0.3080 0.6679
0.8019 0.8019 0.1710
0.8019 0.8019 0.8290
0.8083 0.8083 0.5000
```

Largest 8 diffraction maxima, by angle, 15 to 90 degrees two-theta:
2θ (°)  I (rel.)
21.2  20
26.4  100
26.9  94
35.1  92
40.0  31
52.5  64
53.0  60
66.9  47